This entry pairs a crystal structure of Hg2BiH2 with its computed X-ray diffraction stick pattern. Radiation: Cu Kα, 1.54184 Å. Structure: a DFT-relaxed cell (PBE, Alexandria).

Peak list (6 most intense, 5° ≤ 2θ ≤ 70°, by angle)
index  Position (°2θ)  d/Å  intensity
0 1 1  25.9  3.445  100
1 0 1  32.1  2.785  68
1 -1 0  32.7  2.739  33
1 1 -1  32.8  2.730  33
0 2 -2  39.9  2.260  17
1 0 -4  50.5  1.807  16

Crystal structure
```
Hg2BiH2
1.0
3.348 0.000 0.000
-0.015 4.738 0.000
-1.650 -2.372 7.527
Hg Bi H
2 1 2
Direct
0.000 0.000 0.000
0.386 0.386 0.772
0.689 0.820 0.386
0.602 0.453 0.215
0.772 0.625 0.558
```